CoSnC4Cl3O4: computed powder diffraction line list (a wavelength of 1.5418 Å), based on a crystal structure in Alexandria, relaxed with GGA+U.
Intensities are scaled so that the largest is 100.

Structure:
```
CoSnC4Cl3O4
1.0
5.362 3.096 3.206
-5.362 3.096 3.206
0.000 -6.191 3.206
Co Sn C Cl O
1 1 4 3 4
direct
0.000 0.000 0.000
0.263 0.263 0.263
0.200 0.966 0.879
0.816 0.816 0.816
0.879 0.200 0.966
0.966 0.879 0.200
0.160 0.371 0.560
0.371 0.560 0.160
0.560 0.160 0.371
0.324 0.938 0.795
0.696 0.696 0.696
0.795 0.324 0.938
0.938 0.795 0.324
```

Peak list (12 most intense, 15 to 90 degrees two-theta, by intensity)
d_spacing  Rel. int.
5.362  100
3.297  30
2.027  29
2.835  25
3.096  24
4.182  24
1.984  22
2.752  19
3.206  19
2.681  15
1.713  13
2.227  11